(1)
# Ti12Ga3Pb
Simulated PXRD pattern, Cu Kα, 1.54184 Å. Input: a crystal structure in Alexandria, relaxed with GGA-PBE.
Neutral-atom scattering factors, no anomalous dispersion.

Principal peaks in the range 2θ from 5° to 70°, low angle first:
hkl 0 0 1, 8.61 deg, d = 10.268 Å, I 12
hkl 0 1 0, 17.29 deg, d = 5.129 Å, I 10
hkl 1 1 0, 24.55 deg, d = 3.627 Å, I 31
hkl 2 0 0, 34.99 deg, d = 2.564 Å, I 46
hkl 2 1 0, 39.28 deg, d = 2.294 Å, I 55
hkl 1 1 4, 43.21 deg, d = 2.094 Å, I 100
hkl 2 3 0, 65.63 deg, d = 1.423 Å, I 11
hkl 3 2 2, 68.44 deg, d = 1.371 Å, I 48

Cell and atoms:
```
data_Ti12Ga3Pb
_chemical_formula_sum 'Ti12 Ga3 Pb1'
_space_group_name_H-M_alt 'P m m m'
_space_group_IT_number 47
_space_group_name_Hall '-P 2 2'
_cell_length_a 5.125
_cell_length_b 5.128
_cell_length_c 10.268
_cell_angle_alpha 90.00
_cell_angle_beta 90.00
_cell_angle_gamma 90.00
loop_
_atom_site_label
_atom_site_type_symbol
_atom_site_fract_x
_atom_site_fract_y
_atom_site_fract_z
_atom_site_occupancy
Ti1 Ti 0.000 0.000 0.121 1
Ti2 Ti 0.000 0.000 0.368 1
Ti3 Ti 0.241 0.500 0.500 1
Ti4 Ti 0.251 0.500 0.000 1
Ti5 Ti 0.500 0.253 0.242 1
Ga1 Ga 0.000 0.500 0.250 1
Ga2 Ga 0.500 0.000 0.000 1
Pb1 Pb 0.500 0.000 0.500 1
```

(2)
# Cs5LiTl6
Simulated PXRD pattern, Cu Kα, 1.54184 Å. Input: a crystal structure in Alexandria, relaxed with GGA-PBE.
Neutral-atom scattering factors, no anomalous dispersion.

Principal peaks in the range 2θ from 5° to 70°, low angle first:
hkl 1 1 0, 12.78 deg, d = 6.928 Å, I 94
hkl 1 1 -2, 19.94 deg, d = 4.454 Å, I 31
hkl 0 4 1, 22.53 deg, d = 3.946 Å, I 95
hkl 2 0 0, 23.67 deg, d = 3.758 Å, I 71
hkl 1 1 2, 28.66 deg, d = 3.115 Å, I 48
hkl 2 4 -1, 29.45 deg, d = 3.033 Å, I 100
hkl 1 3 -3, 32.57 deg, d = 2.749 Å, I 78
hkl 1 7 2, 45.70 deg, d = 1.985 Å, I 39

Cell and atoms:
```
data_Cs5LiTl6
_chemical_formula_sum 'Cs10 Li2 Tl12'
_space_group_name_H-M_alt 'C 1 2/m 1'
_space_group_IT_number 12
_space_group_name_Hall '-C 2y'
_cell_length_a 8.277
_cell_length_b 17.846
_cell_length_c 9.312
_cell_angle_alpha 90.00
_cell_angle_beta 114.73
_cell_angle_gamma 90.00
loop_
_atom_site_label
_atom_site_type_symbol
_atom_site_fract_x
_atom_site_fract_y
_atom_site_fract_z
_atom_site_occupancy
Cs1 Cs 0.000 0.000 0.000 1
Cs2 Cs 0.000 0.143 0.500 1
Cs3 Cs 0.000 0.277 0.000 1
Li1 Li 0.000 0.500 0.500 1
Tl1 Tl 0.012 0.500 0.182 1
Tl2 Tl 0.100 0.359 0.678 1
```